1.
Li3FePCO7: calculated powder XRD pattern (Cu Kα, 1.54184 Å), based on a crystal structure in the Materials Project, relaxed with GGA+U.
Intensities are scaled so that the largest is 100.

Structural model:
Lattice parameters (Å, degrees): 9.539 6.448 9.720 90.00 115.49 90.00
Positions (direct):
Li 0.108 0.249 0.195
Li 0.108 0.251 0.695
Li 0.287 0.011 0.511
Li 0.287 0.489 0.011
Li 0.360 0.746 0.820
Li 0.360 0.754 0.320
Li 0.640 0.246 0.680
Li 0.640 0.254 0.180
Li 0.713 0.511 0.989
Li 0.713 0.989 0.489
Li 0.892 0.749 0.305
Li 0.892 0.751 0.805
Fe 0.265 0.503 0.514
Fe 0.265 0.997 0.014
Fe 0.735 0.003 0.986
Fe 0.735 0.497 0.486
P 0.407 0.249 0.314
P 0.407 0.251 0.814
P 0.593 0.749 0.186
P 0.593 0.751 0.686
C 0.043 0.743 0.622
C 0.043 0.757 0.122
C 0.957 0.243 0.878
C 0.957 0.257 0.378
O 0.068 0.740 0.261
O 0.068 0.760 0.761
O 0.101 0.238 0.987
O 0.101 0.262 0.487
O 0.157 0.734 0.582
O 0.157 0.766 0.082
O 0.308 0.060 0.315
O 0.308 0.440 0.815
O 0.314 0.059 0.827
O 0.314 0.441 0.327
O 0.417 0.246 0.658
O 0.417 0.254 0.158
O 0.426 0.744 0.056
O 0.426 0.756 0.556
O 0.574 0.244 0.444
O 0.574 0.256 0.944
O 0.583 0.746 0.842
O 0.583 0.754 0.342
O 0.686 0.559 0.673
O 0.686 0.941 0.173
O 0.692 0.560 0.185
O 0.692 0.940 0.685
O 0.843 0.234 0.918
O 0.843 0.266 0.418
O 0.899 0.738 0.513
O 0.899 0.762 0.013
O 0.932 0.240 0.239
O 0.932 0.260 0.739

Largest 12 diffraction maxima, by intensity, 2θ = 15–90°:
2θ (°)	Rel. int.
17.07	100
34.76	84
23.23	43
25.88	40
24.54	30
53.21	30
37.70	29
24.87	28
51.02	23
34.92	22
37.14	22
30.15	22

***

2.
Li9Mn2Co5O16: calculated powder XRD pattern (Cu Kα, 1.54184 Å), based on a crystal structure in the Materials Project, relaxed with GGA+U.
Intensities are scaled so that the largest is 100.

Structural model:
Lattice parameters (Å, degrees): 5.012 5.121 11.790 90.10 90.41 108.52
Positions (direct):
Li 0.000 0.000 0.000
Li 0.000 0.000 0.500
Li 0.001 0.000 0.255
Li 0.495 0.003 0.386
Li 0.500 0.001 0.871
Li 0.500 0.500 0.500
Li 0.500 0.999 0.129
Li 0.505 0.997 0.614
Li 0.999 0.000 0.745
Mn 0.001 0.501 0.125
Mn 0.999 0.499 0.875
Co 0.008 0.491 0.381
Co 0.489 0.492 0.741
Co 0.500 0.500 0.000
Co 0.511 0.508 0.259
Co 0.992 0.509 0.619
O 0.228 0.739 0.500
O 0.234 0.729 0.239
O 0.235 0.729 0.763
O 0.240 0.716 0.000
O 0.245 0.265 0.367
O 0.251 0.280 0.884
O 0.255 0.270 0.636
O 0.260 0.288 0.119
O 0.740 0.712 0.881
O 0.745 0.730 0.364
O 0.749 0.720 0.116
O 0.755 0.735 0.633
O 0.760 0.284 0.000
O 0.765 0.271 0.237
O 0.766 0.271 0.761
O 0.772 0.261 0.500

Largest 12 diffraction maxima, by intensity, 2θ = 15–90°:
2θ (°)	Rel. int.
18.27	100
43.15	28
43.50	27
44.05	26
62.84	15
35.71	14
36.43	13
47.61	13
35.98	12
63.84	8
62.98	7
63.08	7

***

3.
KRbMnF6: calculated powder XRD pattern (Cu Kα, 1.54184 Å), based on a crystal structure in the Materials Project, relaxed with GGA+U.
Intensities are scaled so that the largest is 100.

Structural model:
Lattice parameters (Å, degrees): 6.042 6.042 6.042 60.00 60.00 60.00
Positions (direct):
K 0.000 0.000 0.000
Rb 0.500 0.500 0.500
Mn 0.250 0.250 0.250
F 0.034 0.034 0.466
F 0.034 0.466 0.034
F 0.034 0.466 0.466
F 0.466 0.034 0.034
F 0.466 0.034 0.466
F 0.466 0.466 0.034

Largest 12 diffraction maxima, by intensity, 2θ = 15–90°:
2θ (°)	Rel. int.
29.57	100
17.98	90
42.31	65
36.43	53
61.38	34
52.47	32
34.83	26
84.94	21
69.59	21
55.92	18
64.53	13
73.53	11

***

4.
Li2MnP4O12: calculated powder XRD pattern (Cu Kα, 1.54184 Å), based on a crystal structure in the Materials Project, relaxed with GGA+U.
Intensities are scaled so that the largest is 100.

Structural model:
Lattice parameters (Å, degrees): 9.433 9.433 4.676 90.00 90.00 90.00
Positions (direct):
Li 0.000 0.000 0.000
Li 0.000 0.500 0.000
Li 0.500 0.000 0.000
Li 0.500 0.500 0.000
Mn 0.250 0.250 0.000
Mn 0.750 0.750 0.000
P 0.028 0.750 0.500
P 0.250 0.528 0.500
P 0.250 0.972 0.500
P 0.472 0.750 0.500
P 0.528 0.250 0.500
P 0.750 0.028 0.500
P 0.750 0.472 0.500
P 0.972 0.250 0.500
O 0.048 0.179 0.257
O 0.048 0.321 0.743
O 0.137 0.637 0.649
O 0.137 0.863 0.351
O 0.179 0.048 0.743
O 0.179 0.452 0.257
O 0.321 0.048 0.257
O 0.321 0.452 0.743
O 0.363 0.637 0.351
O 0.363 0.863 0.649
O 0.452 0.179 0.743
O 0.452 0.321 0.257
O 0.548 0.679 0.743
O 0.548 0.821 0.257
O 0.637 0.137 0.351
O 0.637 0.363 0.649
O 0.679 0.548 0.257
O 0.679 0.952 0.743
O 0.821 0.548 0.743
O 0.821 0.952 0.257
O 0.863 0.137 0.649
O 0.863 0.363 0.351
O 0.952 0.679 0.257
O 0.952 0.821 0.743

Largest 12 diffraction maxima, by intensity, 2θ = 15–90°:
2θ (°)	Rel. int.
32.99	100
23.23	77
39.47	43
26.73	39
18.98	39
49.54	20
55.33	20
65.71	16
29.95	14
38.16	14
44.06	14
18.81	13

***

Which formula does entry 4 have?
Li2MnP4O12

***

What did the first record say?
Li3FePCO7: calculated powder XRD pattern (Cu Kα, 1.54184 Å), based on a crystal structure in the Materials Project, relaxed with GGA+U.
Intensities are scaled so that the largest is 100.

Structural model:
Lattice parameters (Å, degrees): 9.539 6.448 9.720 90.00 115.49 90.00
Positions (direct):
Li 0.108 0.249 0.195
Li 0.108 0.251 0.695
Li 0.287 0.011 0.511
Li 0.287 0.489 0.011
Li 0.360 0.746 0.820
Li 0.360 0.754 0.320
Li 0.640 0.246 0.680
Li 0.640 0.254 0.180
Li 0.713 0.511 0.989
Li 0.713 0.989 0.489
Li 0.892 0.749 0.305
Li 0.892 0.751 0.805
Fe 0.265 0.503 0.514
Fe 0.265 0.997 0.014
Fe 0.735 0.003 0.986
Fe 0.735 0.497 0.486
P 0.407 0.249 0.314
P 0.407 0.251 0.814
P 0.593 0.749 0.186
P 0.593 0.751 0.686
C 0.043 0.743 0.622
C 0.043 0.757 0.122
C 0.957 0.243 0.878
C 0.957 0.257 0.378
O 0.068 0.740 0.261
O 0.068 0.760 0.761
O 0.101 0.238 0.987
O 0.101 0.262 0.487
O 0.157 0.734 0.582
O 0.157 0.766 0.082
O 0.308 0.060 0.315
O 0.308 0.440 0.815
O 0.314 0.059 0.827
O 0.314 0.441 0.327
O 0.417 0.246 0.658
O 0.417 0.254 0.158
O 0.426 0.744 0.056
O 0.426 0.756 0.556
O 0.574 0.244 0.444
O 0.574 0.256 0.944
O 0.583 0.746 0.842
O 0.583 0.754 0.342
O 0.686 0.559 0.673
O 0.686 0.941 0.173
O 0.692 0.560 0.185
O 0.692 0.940 0.685
O 0.843 0.234 0.918
O 0.843 0.266 0.418
O 0.899 0.738 0.513
O 0.899 0.762 0.013
O 0.932 0.240 0.239
O 0.932 0.260 0.739

Largest 12 diffraction maxima, by intensity, 2θ = 15–90°:
2θ (°)	Rel. int.
17.07	100
34.76	84
23.23	43
25.88	40
24.54	30
53.21	30
37.70	29
24.87	28
51.02	23
34.92	22
37.14	22
30.15	22